Starting from a structure optimized by DFT (GGA+U), the powder diffraction line list of K4Np3MnO12 was simulated for Cu Kα X-rays.

Largest 10 diffraction maxima, in order of rising 2θ, 2θ = 10–90°:
two_theta, I (rel.)
14.7, 23
20.9, 70
29.7, 100
42.5, 32
47.8, 33
52.7, 41
61.6, 20
65.8, 16
69.9, 18
85.3, 22

Crystal structure
```
20
Lattice="-4.257 4.257 4.257 4.257 -4.257 4.257 4.257 4.257 -4.257" Properties=species:S:1:pos:R:3 pbc="T T T"
K 2.129 2.129 -2.129
K 2.129 -2.129 2.129
K -2.129 2.129 2.129
K 2.129 2.129 2.129
Np 4.257 0.000 0.000
Np 0.000 4.257 0.000
Np 0.000 0.000 4.257
Mn 0.000 0.000 0.000
O 2.282 0.000 0.000
O 6.232 0.000 0.000
O 4.257 2.129 0.000
O 4.257 0.000 2.129
O 0.000 2.282 0.000
O 0.000 0.000 2.282
O 2.129 4.257 0.000
O 2.129 0.000 4.257
O 0.000 6.232 0.000
O 0.000 0.000 6.232
O 0.000 4.257 2.129
O 0.000 2.129 4.257
```